Computed XRD peak list of Nd4U2Ru5 for Cu Kα X-rays, from a structure optimized by DFT (PBE).
Intensities are scaled so that the largest is 100.

Atomic structure:
a = 8.8402 Å, b = 18.4067 Å, c = 6.2243 Å
α = 90.00°, β = 90.00°, γ = 90.00°
Space group Ibam (No. 72)
Unique sites:
Nd 0.1199 0.1376 0.0000
Nd 0.2490 0.4461 0.0000
U 0.0000 0.3026 0.2500
Ru 0.0000 0.0000 0.2500
Ru 0.0616 0.4086 0.5000
Ru 0.1629 0.2251 0.5000

Peak list (10 most intense, 2θ = 10–90°, sorted by position)
17.60 deg, I = 41, (1 3 0); 33.74 deg, I = 60, (3 3 0); 33.85 deg, I = 100, (1 3 2); 34.13 deg, I = 75, (1 6 1); 34.83 deg, I = 53, (2 5 1); 35.08 deg, I = 63, (3 2 1); 35.27 deg, I = 58, (2 0 2); 35.62 deg, I = 53, (1 7 0); 39.25 deg, I = 40, (1 5 2); 53.96 deg, I = 37, (2 10 0)